(1)
The following is a simulated powder diffractogram of Hf9B2Mo3. It was derived from a PBE-relaxed structure, using CuKα.
Lines closer than 0.1° are merged.

Atomic structure:
```
Hf9B2Mo3
1.0
8.3937 0.0000 0.0000
-4.1968 7.2691 0.0000
0.0000 0.0000 8.4594
Hf B Mo
18 4 6
Cartesian
-1.5869 3.9299 2.1148
0.0000 2.9191 4.6947
0.0000 2.9191 7.9943
-1.6688 5.8096 4.6947
-1.6688 5.8096 7.9943
2.5280 1.4596 0.4650
2.5280 1.4596 3.7646
1.5869 3.9299 2.1148
0.0000 6.6785 2.1148
4.1968 0.5907 6.3445
2.6100 3.3392 6.3445
1.6688 5.8096 4.6947
1.6688 5.8096 7.9943
5.8656 1.4596 0.4650
5.8656 1.4596 3.7646
4.1968 4.3500 0.4650
4.1968 4.3500 3.7646
5.7837 3.3392 6.3445
0.0000 0.0000 0.0000
0.0000 0.0000 4.2297
0.0000 4.8461 6.3445
4.1968 2.4230 2.1148
0.0000 1.5734 2.1148
-2.8342 6.4824 2.1148
1.3626 0.7867 6.3445
2.8342 6.4824 2.1148
7.0311 0.7867 6.3445
4.1968 5.6957 6.3445
```

The 8 most intense peaks (15° ≤ 2θ ≤ 90°), in order of falling intensity:
Position (°2θ)	I_rel
39.1	100
38.7	93
32.5	82
40.5	57
34.1	54
65.0	52
37.1	43
67.5	43

=====

(2)
The following is a simulated powder diffractogram of PrAl2. It was derived from a PBE-relaxed structure, using CuKα.
Lines closer than 0.1° are merged.

Atomic structure:
```
PrAl2
1.0
0.0000 4.0451 4.0451
4.0451 0.0000 4.0451
4.0451 4.0451 0.0000
Pr Al
2 4
Cartesian
1.0113 1.0113 1.0113
7.0790 7.0790 7.0790
4.0451 2.0226 2.0226
2.0226 4.0451 2.0226
2.0226 2.0226 4.0451
4.0451 4.0451 4.0451
```

The 8 most intense peaks (15° ≤ 2θ ≤ 90°), in order of falling intensity:
Position (°2θ)	I_rel
36.8	100
31.3	97
19.0	56
55.7	38
59.4	33
65.2	22
74.1	16
49.1	15

=====

(3)
The following is a simulated powder diffractogram of SmCo4B. It was derived from a PBE-relaxed structure, using CuKα.
Lines closer than 0.1° are merged.

Atomic structure:
```
SmCo4B
1.0
5.0539 0.0000 0.0000
-2.5270 4.3768 0.0000
0.0000 0.0000 6.8215
Sm Co B
2 8 2
Cartesian
0.0000 0.0000 0.0000
0.0000 0.0000 3.4108
-1.2635 2.1884 1.4421
-1.2635 2.1884 5.3794
0.0000 2.9179 3.4108
2.5270 0.0000 1.4421
2.5270 0.0000 5.3794
1.2635 2.1884 1.4421
1.2635 2.1884 5.3794
2.5270 1.4589 3.4108
0.0000 2.9179 0.0000
2.5270 1.4589 0.0000
```

The 8 most intense peaks (15° ≤ 2θ ≤ 90°), in order of falling intensity:
Position (°2θ)	I_rel
44.6	100
33.3	87
41.3	76
35.5	32
62.4	28
70.2	25
75.2	21
69.9	16

=====

(4)
The following is a simulated powder diffractogram of PbS2N2. It was derived from a PBE-relaxed structure, using CuKα.
Lines closer than 0.1° are merged.

Atomic structure:
```
PbS2N2
1.0
4.4646 0.0000 0.0000
0.0000 7.8353 0.0000
0.0000 0.0000 12.5708
Pb S N
4 8 8
Cartesian
0.5463 1.1416 1.5193
1.6860 6.6937 7.8047
2.7786 2.7760 11.0515
3.9183 5.0592 4.7661
0.2943 4.6740 9.1276
0.5231 4.5062 0.7338
1.7092 3.3291 7.0193
1.9380 3.1612 2.8422
2.5266 7.0788 3.4432
2.7554 7.2467 11.8370
3.9415 0.5885 5.5516
4.1703 0.7564 9.7286
0.0549 3.1083 0.2410
0.7717 3.2959 8.2842
1.4606 4.5393 1.9988
2.1774 4.7270 6.5264
2.2872 0.8093 12.3298
3.0040 0.6217 4.2866
3.6929 7.2135 10.5720
4.4097 7.0259 6.0444
```

The 8 most intense peaks (15° ≤ 2θ ≤ 90°), in order of falling intensity:
Position (°2θ)	I_rel
31.2	100
24.5	79
24.0	69
27.0	48
29.2	46
37.3	45
30.4	45
23.8	41

=====

(5)
The following is a simulated powder diffractogram of Zr2Fe12P7. It was derived from a PBE-relaxed structure, using CuKα.
Lines closer than 0.1° are merged.

Atomic structure:
```
Zr2Fe12P7
1.0
8.8436 0.0000 0.0000
-4.4218 7.6588 0.0000
0.0000 0.0000 3.5963
Zr Fe P
2 12 7
Cartesian
0.0000 0.0000 0.0000
0.0000 5.1059 1.7981
-2.9520 5.8974 1.7981
-0.8921 3.0230 0.0000
0.7905 2.1536 1.7981
-1.3577 6.9199 0.0000
2.5141 1.6334 0.0000
4.3232 0.8979 1.7981
3.0378 3.4659 1.7981
2.2498 5.3747 0.0000
2.1615 7.2666 1.7981
6.1719 1.3606 0.0000
4.5793 4.6648 0.0000
5.9044 3.2950 1.7981
-2.0899 4.8411 0.0000
2.1323 0.3343 1.7981
1.2742 3.4283 0.0000
0.8157 7.0481 0.0000
4.4218 2.5529 0.0000
3.6452 5.6450 1.7981
7.4879 1.6795 1.7981
```

The 8 most intense peaks (15° ≤ 2θ ≤ 90°), in order of falling intensity:
Position (°2θ)	I_rel
40.0	100
50.8	20
54.9	16
49.9	14
78.1	11
47.5	10
43.5	9
88.2	9

=====

(6)
The following is a simulated powder diffractogram of EuTh3. It was derived from a PBE-relaxed structure, using CuKα.
Lines closer than 0.1° are merged.

Atomic structure:
```
EuTh3
1.0
7.1766 0.0000 0.0000
-3.5883 6.2151 0.0000
0.0000 0.0000 5.9392
Eu Th
2 6
Cartesian
0.0000 4.1434 1.4848
3.5883 2.0717 4.4544
0.0000 2.0627 4.4544
-1.8019 5.1837 4.4544
1.7864 1.0314 1.4848
1.8019 5.1837 4.4544
5.3902 1.0314 1.4848
3.5883 4.1524 1.4848
```

The 8 most intense peaks (15° ≤ 2θ ≤ 90°), in order of falling intensity:
Position (°2θ)	I_rel
32.5	100
30.1	27
60.3	24
55.0	23
28.7	23
50.9	19
42.1	17
61.7	16

=====

Question: Which formula does entry 4 have?
Answer: PbS2N2

=====

What did the fourth record say?
The following is a simulated powder diffractogram of PbS2N2. It was derived from a PBE-relaxed structure, using CuKα.
Lines closer than 0.1° are merged.

Atomic structure:
```
PbS2N2
1.0
4.4646 0.0000 0.0000
0.0000 7.8353 0.0000
0.0000 0.0000 12.5708
Pb S N
4 8 8
Cartesian
0.5463 1.1416 1.5193
1.6860 6.6937 7.8047
2.7786 2.7760 11.0515
3.9183 5.0592 4.7661
0.2943 4.6740 9.1276
0.5231 4.5062 0.7338
1.7092 3.3291 7.0193
1.9380 3.1612 2.8422
2.5266 7.0788 3.4432
2.7554 7.2467 11.8370
3.9415 0.5885 5.5516
4.1703 0.7564 9.7286
0.0549 3.1083 0.2410
0.7717 3.2959 8.2842
1.4606 4.5393 1.9988
2.1774 4.7270 6.5264
2.2872 0.8093 12.3298
3.0040 0.6217 4.2866
3.6929 7.2135 10.5720
4.4097 7.0259 6.0444
```

The 8 most intense peaks (15° ≤ 2θ ≤ 90°), in order of falling intensity:
Position (°2θ)	I_rel
31.2	100
24.5	79
24.0	69
27.0	48
29.2	46
37.3	45
30.4	45
23.8	41